This entry pairs a crystal structure of ZrNb2Cu with its computed X-ray powder pattern. Radiation: Cu Ka. Structure: a crystal structure in Alexandria, relaxed with GGA-PBE.
Lines closer than 0.1° are merged.

The 10 most intense peaks (2θ = 10–90°), sorted by position:
(1 1 2), 33.89°, 2.645 Å, rel. 100
(0 0 8), 35.42°, 2.534 Å, rel. 44
(1 1 6), 42.47°, 2.128 Å, rel. 53
(2 0 4), 50.42°, 1.810 Å, rel. 62
(1 1 10), 56.46°, 1.630 Å, rel. 22
(2 2 0), 68.48°, 1.370 Å, rel. 12
(2 0 12), 74.51°, 1.273 Å, rel. 19
(3 1 2), 78.64°, 1.217 Å, rel. 16
(2 2 8), 79.53°, 1.205 Å, rel. 15
(3 1 6), 84.01°, 1.152 Å, rel. 14

```
data_ZrNb2Cu
_cell_length_a 3.875
_cell_length_b 3.875
_cell_length_c 20.276
_cell_angle_alpha 90.00
_cell_angle_beta 90.00
_cell_angle_gamma 90.00
_space_group_name_H-M_alt 'I -4 2 d'
_space_group_IT_number 122
_space_group_name_Hall 'I -4 2bw'
loop_
_atom_site_label
_atom_site_fract_x
_atom_site_fract_y
_atom_site_fract_z
_atom_site_occupancy
Zr1 0.000 0.000 0.000 1
Nb1 0.250 0.250 0.125 1
Cu1 0.000 0.000 0.500 1
```